Entry 1:
# LiNiH12S2O14
Computed X-ray powder pattern, Cu Kα. Input: the GGA+U geometry in the Materials Project.
Kinematic intensities with the Lorentz-polarization factor, no thermal factor.

a = 5.8985 Å, b = 11.5237 Å, c = 8.7073 Å
α = 90.00°, β = 103.81°, γ = 90.00°
Fractional coordinates of all 60 atoms:
Li 0.1533 0.0000 0.1148
Li 0.8467 0.5000 0.8852
Ni 0.4975 0.8769 0.7496
Ni 0.5025 0.3769 0.2504
H 0.1697 0.7307 0.7169
H 0.1722 0.9677 0.5360
H 0.1744 0.2918 0.0364
H 0.1750 0.5224 0.2157
H 0.1810 0.8237 0.8633
H 0.1839 0.4340 0.3657
H 0.4098 0.2473 0.9964
H 0.4106 0.0028 0.4925
H 0.4217 0.4733 0.9804
H 0.4343 0.7762 0.4809
H 0.4807 0.0701 0.8862
H 0.4838 0.1838 0.3779
H 0.5162 0.6838 0.6221
H 0.5193 0.5701 0.1138
H 0.5657 0.2762 0.5191
H 0.5783 0.9733 0.0196
H 0.5894 0.5028 0.5075
H 0.5902 0.7473 0.0036
H 0.8161 0.9340 0.6343
H 0.8190 0.3237 0.1367
H 0.8250 0.0224 0.7843
H 0.8256 0.7918 0.9636
H 0.8278 0.4677 0.4640
H 0.8303 0.2307 0.2831
S 0.2264 0.5102 0.6756
S 0.2269 0.7415 0.1586
S 0.7731 0.2415 0.8414
S 0.7736 0.0102 0.3244
O 0.0670 0.6396 0.1347
O 0.0761 0.6145 0.6763
O 0.1213 0.4389 0.5343
O 0.1233 0.8328 0.0352
O 0.2087 0.8161 0.7535
O 0.2122 0.4397 0.2555
O 0.2332 0.4437 0.8224
O 0.2530 0.7965 0.3137
O 0.3319 0.2609 0.0857
O 0.3367 0.9919 0.5825
O 0.4546 0.9879 0.9184
O 0.4570 0.7043 0.1325
O 0.4588 0.2648 0.4112
O 0.4709 0.5453 0.6700
O 0.5291 0.0453 0.3300
O 0.5412 0.7648 0.5888
O 0.5430 0.2043 0.8675
O 0.5454 0.4879 0.0816
O 0.6633 0.4919 0.4175
O 0.6681 0.7609 0.9143
O 0.7470 0.2965 0.6863
O 0.7668 0.9437 0.1776
O 0.7878 0.9397 0.7445
O 0.7913 0.3161 0.2465
O 0.8767 0.3328 0.9648
O 0.8787 0.9389 0.4657
O 0.9239 0.1145 0.3237
O 0.9330 0.1396 0.8653

Largest 10 diffraction maxima, in order of falling intensity, 2θ = 10–90°:
- 5.748 Å, intensity 100
- 5.129 Å, intensity 79
- 3.497 Å, intensity 75
- 3.930 Å, intensity 65
- 4.021 Å, intensity 60
- 3.969 Å, intensity 55
- 2.843 Å, intensity 48
- 3.872 Å, intensity 43
- 4.228 Å, intensity 41
- 4.761 Å, intensity 39

---

Entry 2:
# Mn8Cl3O10
Computed X-ray powder pattern, Cu Kα. Input: the GGA+U geometry in the Materials Project.
Kinematic intensities with the Lorentz-polarization factor, no thermal factor.

a = 9.3670 Å, b = 9.3670 Å, c = 9.3670 Å
α = 60.00°, β = 60.00°, γ = 60.00°
Fractional coordinates of all 42 atoms:
Mn 0.0000 0.0000 0.0000
Mn 0.0000 0.0000 0.3515
Mn 0.0000 0.0000 0.6485
Mn 0.0000 0.3515 0.0000
Mn 0.0000 0.3515 0.6485
Mn 0.0000 0.6485 0.0000
Mn 0.0000 0.6485 0.3515
Mn 0.2500 0.2500 0.2500
Mn 0.3515 0.0000 0.0000
Mn 0.3515 0.0000 0.6485
Mn 0.3515 0.6485 0.0000
Mn 0.5000 0.5000 0.5000
Mn 0.6485 0.0000 0.0000
Mn 0.6485 0.0000 0.3515
Mn 0.6485 0.3515 0.0000
Mn 0.7500 0.7500 0.7500
Cl 0.3040 0.3040 0.6960
Cl 0.3040 0.6960 0.3040
Cl 0.3040 0.6960 0.6960
Cl 0.6960 0.3040 0.3040
Cl 0.6960 0.3040 0.6960
Cl 0.6960 0.6960 0.3040
O 0.0963 0.0963 0.4037
O 0.0963 0.4037 0.0963
O 0.0963 0.4037 0.4037
O 0.0996 0.0996 0.0996
O 0.0996 0.0996 0.7013
O 0.0996 0.7013 0.0996
O 0.2987 0.9004 0.9004
O 0.4037 0.0963 0.0963
O 0.4037 0.0963 0.4037
O 0.4037 0.4037 0.0963
O 0.5963 0.5963 0.9037
O 0.5963 0.9037 0.5963
O 0.5963 0.9037 0.9037
O 0.7013 0.0996 0.0996
O 0.9004 0.2987 0.9004
O 0.9004 0.9004 0.2987
O 0.9004 0.9004 0.9004
O 0.9037 0.5963 0.5963
O 0.9037 0.5963 0.9037
O 0.9037 0.9037 0.5963

Largest 10 diffraction maxima, in order of falling intensity, 2θ = 10–90°:
- 2.549 Å, intensity 100
- 1.561 Å, intensity 71
- 3.312 Å, intensity 47
- 7.648 Å, intensity 43
- 3.994 Å, intensity 42
- 2.208 Å, intensity 33
- 1.331 Å, intensity 25
- 2.239 Å, intensity 21
- 2.095 Å, intensity 19
- 2.962 Å, intensity 16

---

Entry 3:
# LiVP2H2O8
Computed X-ray powder pattern, Cu Kα. Input: the GGA+U geometry in the Materials Project.
Kinematic intensities with the Lorentz-polarization factor, no thermal factor.

a = 9.5069 Å, b = 9.5069 Å, c = 8.8524 Å
α = 106.91°, β = 106.91°, γ = 115.24°
Fractional coordinates of all 56 atoms:
Li 0.1740 0.8260 0.5000
Li 0.2538 0.6397 0.9545
Li 0.6397 0.2538 0.4545
Li 0.8260 0.1740 0.0000
V 0.1849 0.9055 0.1532
V 0.4582 0.6786 0.6859
V 0.6786 0.4582 0.1859
V 0.9055 0.1849 0.6532
P 0.0071 0.4620 0.4642
P 0.3474 0.3898 0.8305
P 0.3898 0.3474 0.3305
P 0.4620 0.0071 0.9642
P 0.4759 0.8586 0.4006
P 0.8586 0.4759 0.9006
P 0.8845 0.8899 0.3008
P 0.8899 0.8845 0.8008
H 0.1298 0.3597 0.3365
H 0.1665 0.1829 0.0617
H 0.1829 0.1665 0.5617
H 0.3597 0.1298 0.8365
H 0.5523 0.7114 0.2389
H 0.6932 0.8226 0.0426
H 0.7114 0.5523 0.7389
H 0.8226 0.6932 0.5426
O 0.0099 0.3380 0.2967
O 0.0388 0.8792 0.2909
O 0.0440 0.6424 0.9738
O 0.0503 0.9620 0.9821
O 0.1704 0.3625 0.8163
O 0.2000 0.6095 0.6095
O 0.2427 0.3108 0.1545
O 0.3097 0.8633 0.3470
O 0.3108 0.2427 0.6545
O 0.3380 0.0099 0.7967
O 0.3463 0.9014 0.0317
O 0.3625 0.1704 0.3163
O 0.3629 0.4443 0.4796
O 0.4443 0.3630 0.9796
O 0.4477 0.7223 0.2203
O 0.4614 0.5786 0.8583
O 0.4917 0.7928 0.5367
O 0.5470 0.9182 0.8895
O 0.5786 0.4614 0.3583
O 0.6095 0.2000 0.1095
O 0.6424 0.0440 0.4738
O 0.7161 0.7363 0.7750
O 0.7223 0.4477 0.7203
O 0.7363 0.7161 0.2750
O 0.7928 0.4917 0.0367
O 0.7982 0.9307 0.1514
O 0.8633 0.3097 0.8470
O 0.8792 0.0388 0.7909
O 0.9014 0.3463 0.5317
O 0.9182 0.5470 0.3895
O 0.9307 0.7982 0.6514
O 0.9620 0.0503 0.4821

Largest 10 diffraction maxima, in order of falling intensity, 2θ = 10–90°:
- 5.454 Å, intensity 100
- 3.670 Å, intensity 75
- 3.773 Å, intensity 56
- 2.926 Å, intensity 38
- 3.373 Å, intensity 31
- 2.877 Å, intensity 29
- 2.727 Å, intensity 26
- 2.857 Å, intensity 25
- 3.532 Å, intensity 21
- 4.126 Å, intensity 14

---

Entry 4:
# Fe3Co2TeP6O24
Computed X-ray powder pattern, Cu Kα. Input: the GGA+U geometry in the Materials Project.
Kinematic intensities with the Lorentz-polarization factor, no thermal factor.

a = 8.5978 Å, b = 8.5978 Å, c = 8.5978 Å
α = 61.04°, β = 61.04°, γ = 61.04°
Fractional coordinates of all 36 atoms:
Fe 0.0000 0.0000 0.0000
Fe 0.2098 0.2098 0.2098
Fe 0.5003 0.5003 0.5003
Co 0.3544 0.3544 0.3544
Co 0.8577 0.8577 0.8577
Te 0.7097 0.7097 0.7097
P 0.1112 0.3939 0.8093
P 0.3031 0.9071 0.6021
P 0.3939 0.8093 0.1112
P 0.6021 0.3031 0.9071
P 0.8093 0.1112 0.3939
P 0.9071 0.6021 0.3031
O 0.0362 0.2457 0.8507
O 0.1025 0.4444 0.2908
O 0.1127 0.9169 0.7645
O 0.1737 0.3589 0.9646
O 0.2457 0.8507 0.0362
O 0.2648 0.4164 0.6108
O 0.2908 0.1025 0.4444
O 0.3589 0.9646 0.1737
O 0.3602 0.7446 0.5398
O 0.4164 0.6108 0.2648
O 0.4444 0.2908 0.1025
O 0.4585 0.8827 0.6674
O 0.5398 0.3602 0.7446
O 0.5971 0.7974 0.9486
O 0.6108 0.2648 0.4164
O 0.6674 0.4585 0.8827
O 0.7446 0.5398 0.3602
O 0.7645 0.1127 0.9169
O 0.7974 0.9486 0.5971
O 0.8507 0.0362 0.2457
O 0.8827 0.6674 0.4585
O 0.9169 0.7645 0.1127
O 0.9486 0.5971 0.7974
O 0.9646 0.1737 0.3589

Largest 10 diffraction maxima, in order of falling intensity, 2θ = 10–90°:
- 4.366 Å, intensity 100
- 3.699 Å, intensity 80
- 2.722 Å, intensity 75
- 2.521 Å, intensity 44
- 1.850 Å, intensity 29
- 1.928 Å, intensity 28
- 1.650 Å, intensity 26
- 1.491 Å, intensity 23
- 4.298 Å, intensity 19
- 1.635 Å, intensity 14

---

Entry 5:
# Li9Mn2Co5O16
Computed X-ray powder pattern, Cu Kα. Input: the GGA+U geometry in the Materials Project.
Kinematic intensities with the Lorentz-polarization factor, no thermal factor.

a = 10.1990 Å, b = 2.9282 Å, c = 10.3305 Å
α = 90.00°, β = 109.19°, γ = 90.00°
Fractional coordinates of all 32 atoms:
Li 0.0000 0.0000 0.0000
Li 0.0007 0.5000 0.2293
Li 0.2471 0.0000 0.2421
Li 0.2517 0.0000 0.7586
Li 0.4926 0.5000 0.2442
Li 0.5074 0.5000 0.7558
Li 0.7483 0.0000 0.2414
Li 0.7529 0.0000 0.7579
Li 0.9993 0.5000 0.7707
Mn 0.0000 0.0000 0.5000
Mn 0.5000 0.0000 0.0000
Co 0.2319 0.5000 0.0056
Co 0.2552 0.5000 0.4986
Co 0.5000 0.0000 0.5000
Co 0.7448 0.5000 0.5014
Co 0.7681 0.5000 0.9944
O 0.1102 0.5000 0.6084
O 0.1255 0.0000 0.3922
O 0.1360 0.5000 0.1227
O 0.1365 0.0000 0.8806
O 0.3645 0.0000 0.6146
O 0.3773 0.0000 0.1078
O 0.3816 0.5000 0.3849
O 0.3904 0.5000 0.8900
O 0.6096 0.5000 0.1100
O 0.6184 0.5000 0.6152
O 0.6227 0.0000 0.8922
O 0.6355 0.0000 0.3854
O 0.8635 0.0000 0.1194
O 0.8640 0.5000 0.8773
O 0.8745 0.0000 0.6078
O 0.8898 0.5000 0.3916

Largest 10 diffraction maxima, in order of falling intensity, 2θ = 10–90°:
- 4.878 Å, intensity 100
- 2.086 Å, intensity 55
- 2.091 Å, intensity 26
- 2.502 Å, intensity 25
- 1.484 Å, intensity 14
- 1.615 Å, intensity 14
- 2.512 Å, intensity 14
- 1.470 Å, intensity 13
- 1.918 Å, intensity 9
- 1.408 Å, intensity 8

---

Entry 6:
# KCaCeFeO6
Computed X-ray powder pattern, Cu Kα. Input: the GGA+U geometry in the Materials Project.
Kinematic intensities with the Lorentz-polarization factor, no thermal factor.

a = 5.7879 Å, b = 5.7879 Å, c = 5.7879 Å
α = 60.00°, β = 60.00°, γ = 60.00°
Fractional coordinates of all 10 atoms:
K 0.0000 0.0000 0.0000
Ca 0.5000 0.5000 0.5000
Ce 0.2500 0.2500 0.2500
Fe 0.7500 0.7500 0.7500
O 0.5167 0.5167 0.9833
O 0.5167 0.9833 0.5167
O 0.5167 0.9833 0.9833
O 0.9833 0.5167 0.5167
O 0.9833 0.5167 0.9833
O 0.9833 0.9833 0.5167

Largest 10 diffraction maxima, in order of falling intensity, 2θ = 10–90°:
- 2.894 Å, intensity 100
- 4.093 Å, intensity 44
- 2.046 Å, intensity 40
- 1.671 Å, intensity 37
- 1.447 Å, intensity 23
- 1.094 Å, intensity 20
- 1.830 Å, intensity 18
- 1.294 Å, intensity 16
- 4.726 Å, intensity 16
- 2.468 Å, intensity 14

---

Entry 7:
# La4MgCoO8
Computed X-ray powder pattern, Cu Kα. Input: the GGA+U geometry in the Materials Project.
Kinematic intensities with the Lorentz-polarization factor, no thermal factor.

a = 5.5384 Å, b = 5.5366 Å, c = 6.9031 Å
α = 90.00°, β = 113.62°, γ = 90.00°
Fractional coordinates of all 14 atoms:
La 0.1384 0.0000 0.2748
La 0.3620 0.5000 0.7245
La 0.6380 0.5000 0.2755
La 0.8616 0.0000 0.7252
Mg 0.0000 0.5000 0.0000
Co 0.5000 0.0000 0.0000
O 0.1790 0.5000 0.3577
O 0.2492 0.2518 0.9999
O 0.2492 0.7482 0.9999
O 0.3185 0.0000 0.6360
O 0.6815 0.0000 0.3640
O 0.7508 0.2518 0.0001
O 0.7508 0.7482 0.0001
O 0.8210 0.5000 0.6423

Largest 10 diffraction maxima, in order of falling intensity, 2θ = 10–90°:
- 2.869 Å, intensity 100
- 2.769 Å, intensity 77
- 3.741 Å, intensity 46
- 2.083 Å, intensity 43
- 1.958 Å, intensity 39
- 1.617 Å, intensity 37
- 2.125 Å, intensity 21
- 3.162 Å, intensity 19
- 1.641 Å, intensity 16
- 1.258 Å, intensity 13

---

Entry 8:
# Nb9V2O25
Computed X-ray powder pattern, Cu Kα. Input: the GGA+U geometry in the Materials Project.
Kinematic intensities with the Lorentz-polarization factor, no thermal factor.

a = 11.5441 Å, b = 11.5441 Å, c = 11.5441 Å
α = 91.71°, β = 91.71°, γ = 160.09°
Fractional coordinates of all 36 atoms:
Nb 0.0000 0.0000 0.0000
Nb 0.0978 0.7773 0.8750
Nb 0.1263 0.3180 0.4443
Nb 0.2227 0.0978 0.3205
Nb 0.3180 0.8737 0.1916
Nb 0.6820 0.1263 0.8084
Nb 0.7773 0.9022 0.6795
Nb 0.8737 0.6820 0.5557
Nb 0.9022 0.2227 0.1250
V 0.2500 0.7500 0.5000
V 0.7500 0.2500 0.5000
O 0.0162 0.2808 0.2970
O 0.0505 0.8824 0.9329
O 0.0831 0.4440 0.5271
O 0.1176 0.0505 0.1681
O 0.1603 0.6485 0.8089
O 0.1787 0.2130 0.3917
O 0.2130 0.8213 0.0343
O 0.2499 0.3887 0.6387
O 0.2808 0.9838 0.2645
O 0.3515 0.1603 0.5118
O 0.3887 0.7501 0.1388
O 0.4440 0.9169 0.3610
O 0.5000 0.5000 0.0000
O 0.5560 0.0831 0.6390
O 0.6113 0.2499 0.8612
O 0.6485 0.8397 0.4882
O 0.7192 0.0162 0.7355
O 0.7501 0.6113 0.3613
O 0.7870 0.1787 0.9657
O 0.8213 0.7870 0.6083
O 0.8397 0.3515 0.1911
O 0.8824 0.9495 0.8319
O 0.9169 0.5560 0.4729
O 0.9495 0.1176 0.0671
O 0.9838 0.7192 0.7030

Largest 10 diffraction maxima, in order of falling intensity, 2θ = 10–90°:
- 3.596 Å, intensity 100
- 3.874 Å, intensity 46
- 2.790 Å, intensity 30
- 2.974 Å, intensity 27
- 5.085 Å, intensity 21
- 2.111 Å, intensity 20
- 3.490 Å, intensity 19
- 2.542 Å, intensity 19
- 1.702 Å, intensity 18
- 1.450 Å, intensity 15